Calculated powder X-ray diffraction pattern of ThO2 for Cu Kα (weighted mean of Kα1 and Kα2), from a GGA-PBE-relaxed structure.

Main lines, sorted by position (10° ≤ 2θ ≤ 90°):
- d = 3.344 Å, 26.7°, rel. 30
- d = 3.093 Å, 28.9°, rel. 100
- d = 2.942 Å, 30.4°, rel. 83
- d = 2.270 Å, 39.7°, rel. 30
- d = 2.016 Å, 45.0°, rel. 26
- d = 1.786 Å, 51.2°, rel. 24
- d = 1.689 Å, 54.3°, rel. 28
- d = 1.614 Å, 57.1°, rel. 32

Crystal structure
abc: 6.183 3.784 7.146
angles: 90.00 90.00 90.00
Fractional coordinates of all 12 atoms:
Th (0.248, 0.250, 0.099)
Th (0.252, 0.750, 0.599)
Th (0.748, 0.250, 0.401)
Th (0.752, 0.750, 0.901)
O (0.018, 0.250, 0.843)
O (0.138, 0.250, 0.425)
O (0.362, 0.750, 0.925)
O (0.482, 0.750, 0.343)
O (0.518, 0.250, 0.657)
O (0.638, 0.250, 0.075)
O (0.862, 0.750, 0.575)
O (0.982, 0.750, 0.157)

Calculated powder X-ray diffraction pattern of AuBr2 for Cu Kα (weighted mean of Kα1 and Kα2), from a GGA-PBE-relaxed structure.

Main lines, sorted by position (10° ≤ 2θ ≤ 90°):
- d = 5.412 Å, 16.4°, rel. 100
- d = 4.654 Å, 19.1°, rel. 94
- d = 4.276 Å, 20.8°, rel. 42
- d = 3.529 Å, 25.2°, rel. 98
- d = 2.327 Å, 38.7°, rel. 54
- d = 2.138 Å, 42.3°, rel. 38
- d = 2.090 Å, 43.3°, rel. 70
- d = 1.943 Å, 46.8°, rel. 39

Crystal structure
abc: 4.654 4.654 10.824
angles: 90.00 90.00 90.00
Fractional coordinates of all 6 atoms:
Au (0.000, 0.000, 0.250)
Au (0.000, 0.000, 0.750)
Br (0.000, 0.500, 0.146)
Br (0.000, 0.500, 0.854)
Br (0.500, 0.000, 0.354)
Br (0.500, 0.000, 0.646)

Calculated powder X-ray diffraction pattern of PdRhPb4 for Cu Kα (weighted mean of Kα1 and Kα2), from a GGA-PBE-relaxed structure.

Main lines, sorted by position (10° ≤ 2θ ≤ 90°):
- d = 2.969 Å, 30.1°, rel. 15
- d = 2.751 Å, 32.6°, rel. 100
- d = 2.540 Å, 35.3°, rel. 19
- d = 2.256 Å, 40.0°, rel. 28
- d = 2.195 Å, 41.1°, rel. 28
- d = 1.669 Å, 55.0°, rel. 23
- d = 1.620 Å, 56.9°, rel. 20
- d = 1.433 Å, 65.1°, rel. 20

Crystal structure
abc: 6.941 6.941 5.938
angles: 90.00 90.00 90.00
Fractional coordinates of all 12 atoms:
Pd (0.000, 0.000, 0.000)
Pd (0.500, 0.500, 0.500)
Rh (0.000, 0.000, 0.500)
Rh (0.500, 0.500, 0.000)
Pb (0.165, 0.335, 0.750)
Pb (0.165, 0.665, 0.250)
Pb (0.335, 0.165, 0.250)
Pb (0.335, 0.835, 0.750)
Pb (0.665, 0.165, 0.750)
Pb (0.665, 0.835, 0.250)
Pb (0.835, 0.335, 0.250)
Pb (0.835, 0.665, 0.750)

Calculated powder X-ray diffraction pattern of Mg2Cd for Cu Kα (weighted mean of Kα1 and Kα2), from a GGA-PBE-relaxed structure.

Main lines, sorted by position (10° ≤ 2θ ≤ 90°):
- d = 8.219 Å, 10.8°, rel. 38
- d = 5.048 Å, 17.6°, rel. 56
- d = 2.766 Å, 32.4°, rel. 41
- d = 2.740 Å, 32.7°, rel. 20
- d = 2.524 Å, 35.6°, rel. 34
- d = 2.426 Å, 37.1°, rel. 100
- d = 2.408 Å, 37.3°, rel. 53
- d = 1.864 Å, 48.8°, rel. 25

Crystal structure
abc: 5.048 3.204 16.439
angles: 90.00 90.00 90.00
Fractional coordinates of all 12 atoms:
Mg (0.000, 0.000, 0.000)
Mg (0.000, 0.000, 0.332)
Mg (0.000, 0.000, 0.667)
Mg (0.000, 0.500, 0.167)
Mg (0.000, 0.500, 0.500)
Mg (0.000, 0.500, 0.832)
Mg (0.500, 0.000, 0.888)
Mg (0.500, 0.500, 0.388)
Cd (0.500, 0.000, 0.223)
Cd (0.500, 0.000, 0.554)
Cd (0.500, 0.500, 0.054)
Cd (0.500, 0.500, 0.723)

Calculated powder X-ray diffraction pattern of Eu2AgSn for Cu Kα (weighted mean of Kα1 and Kα2), from a GGA-PBE-relaxed structure.

Main lines, sorted by position (10° ≤ 2θ ≤ 90°):
- d = 3.879 Å, 22.9°, rel. 2
- d = 2.743 Å, 32.7°, rel. 100
- d = 1.939 Å, 46.8°, rel. 18
- d = 1.735 Å, 52.8°, rel. 1
- d = 1.583 Å, 58.3°, rel. 38
- d = 1.371 Å, 68.4°, rel. 12
- d = 1.227 Å, 77.9°, rel. 16
- d = 1.120 Å, 87.0°, rel. 4

Crystal structure
abc: 7.757 7.757 7.757
angles: 90.00 90.00 90.00
Fractional coordinates of all 16 atoms:
Eu (0.250, 0.250, 0.250)
Eu (0.250, 0.250, 0.750)
Eu (0.250, 0.750, 0.250)
Eu (0.250, 0.750, 0.750)
Eu (0.750, 0.250, 0.250)
Eu (0.750, 0.250, 0.750)
Eu (0.750, 0.750, 0.250)
Eu (0.750, 0.750, 0.750)
Ag (0.000, 0.000, 0.000)
Ag (0.000, 0.500, 0.500)
Ag (0.500, 0.000, 0.500)
Ag (0.500, 0.500, 0.000)
Sn (0.000, 0.000, 0.500)
Sn (0.000, 0.500, 0.000)
Sn (0.500, 0.000, 0.000)
Sn (0.500, 0.500, 0.500)

Calculated powder X-ray diffraction pattern of SbAu3 for Cu Kα (weighted mean of Kα1 and Kα2), from a GGA-PBE-relaxed structure.

Main lines, sorted by position (10° ≤ 2θ ≤ 90°):
- d = 2.487 Å, 36.1°, rel. 100
- d = 2.183 Å, 41.4°, rel. 17
- d = 2.139 Å, 42.2°, rel. 33
- d = 1.528 Å, 60.6°, rel. 23
- d = 1.513 Å, 61.3°, rel. 11
- d = 1.312 Å, 72.0°, rel. 14
- d = 1.292 Å, 73.2°, rel. 26
- d = 1.243 Å, 76.6°, rel. 12

Crystal structure
abc: 4.279 4.279 8.732
angles: 90.00 90.00 90.00
Fractional coordinates of all 8 atoms:
Sb (0.000, 0.000, 0.000)
Sb (0.500, 0.500, 0.500)
Au (0.000, 0.000, 0.500)
Au (0.000, 0.500, 0.250)
Au (0.000, 0.500, 0.750)
Au (0.500, 0.000, 0.250)
Au (0.500, 0.000, 0.750)
Au (0.500, 0.500, 0.000)

Calculated powder X-ray diffraction pattern of Li2AgF5 for Cu Kα (weighted mean of Kα1 and Kα2), from a GGA-PBE-relaxed structure.

Main lines, sorted by position (10° ≤ 2θ ≤ 90°):
- d = 5.930 Å, 14.9°, rel. 98
- d = 4.926 Å, 18.0°, rel. 100
- d = 3.846 Å, 23.1°, rel. 50
- d = 3.734 Å, 23.8°, rel. 58
- d = 3.581 Å, 24.9°, rel. 45
- d = 3.197 Å, 27.9°, rel. 29
- d = 2.676 Å, 33.5°, rel. 64
- d = 2.143 Å, 42.2°, rel. 31

Crystal structure
abc: 3.658 5.013 5.961
angles: 87.29 84.37 79.40
Fractional coordinates of all 8 atoms:
Li (0.000, 0.000, 0.000)
Li (0.465, 0.422, 0.155)
Ag (0.560, 0.825, 0.573)
F (0.000, 0.345, 0.091)
F (0.284, 0.564, 0.461)
F (0.424, 0.730, 0.893)
F (0.638, 0.955, 0.257)
F (0.840, 0.082, 0.687)